No. 1
Diffraction record for LiMoPO5. The XRD peak list is simulated, not measured: it uses the PBE+U geometry in the Materials Project and copper Kα.
Kinematic intensities with the Lorentz-polarization factor, no thermal factor.

The 6 most intense peaks (2θ from 15° to 90°), low angle first:
d = 4.989 Å, intensity 70.5, (0 1 1)
d = 3.769 Å, intensity 39.7, (0 0 2)
d = 3.351 Å, intensity 100.0, (2 0 1)
d = 3.327 Å, intensity 62.2, (0 2 0)
d = 2.361 Å, intensity 25.3, (2 2 1)
d = 1.631 Å, intensity 24.5, (2 1 4)

Structural model:
```
32
Lattice="7.4807 0.0000 0.0000 0.0000 6.6544 0.0000 0.0000 0.0000 7.5387" Properties=species:S:1:pos:R:3 pbc="T T T"
Li 0.0000 0.0000 0.0000
Li 0.0000 3.3272 0.0000
Li 3.7404 0.0000 3.7693
Li 3.7404 3.3272 3.7693
Mo 1.0714 1.6636 2.0415
Mo 2.6689 4.9908 5.8108
Mo 4.8118 1.6636 1.7279
Mo 6.4093 4.9908 5.4972
P 0.9525 4.9908 2.7623
P 2.7878 1.6636 6.5316
P 4.6929 4.9908 1.0071
P 6.5282 1.6636 4.7764
O 0.3512 1.6636 3.9589
O 0.7609 4.9908 6.2234
O 0.9861 3.7561 1.8228
O 0.9861 6.2255 1.8228
O 1.5195 1.6636 7.4438
O 2.2209 4.9908 3.6745
O 2.7543 0.4289 5.5921
O 2.7543 2.8983 5.5921
O 2.9794 1.6636 2.4541
O 3.3892 4.9908 0.1896
O 4.0916 1.6636 7.3491
O 4.5013 4.9908 5.0846
O 4.7265 3.7561 1.9466
O 4.7265 6.2255 1.9466
O 5.2599 1.6636 3.8642
O 5.9613 4.9908 0.0949
O 6.4947 0.4289 5.7159
O 6.4947 2.8983 5.7159
O 6.7198 1.6636 1.3153
O 7.1295 4.9908 3.5798
```

---

No. 2
Diffraction record for Ca3CoO6. The XRD peak list is simulated, not measured: it uses the PBE+U geometry in the Materials Project and copper Kα.
Kinematic intensities with the Lorentz-polarization factor, no thermal factor.

The 6 most intense peaks (2θ from 15° to 90°), low angle first:
d = 4.600 Å, intensity 100.0, (1 0 1)
d = 2.902 Å, intensity 27.1, (1 1 -3)
d = 2.552 Å, intensity 35.0, (0 3 -2)
d = 1.919 Å, intensity 26.5, (2 2 0)
d = 1.915 Å, intensity 19.8, (2 -4 0)
d = 1.906 Å, intensity 19.6, (2 -4 4)

Structural model:
```
40
Lattice="8.8106 0.0000 0.0000 -4.3637 7.6572 0.0000 -0.0658 -5.0763 7.6809" Properties=species:S:1:pos:R:3 pbc="T T T"
Ca 0.0000 0.0000 0.0000
Ca -3.1457 4.7685 1.9120
Ca -0.0556 -0.2555 3.8458
Ca 1.5146 -2.6508 5.7674
Ca -0.2986 -0.1122 7.6589
Ca 1.3336 2.5594 1.9225
Ca 4.3349 -2.5239 3.8249
Ca 1.2853 2.3187 5.7509
Ca 4.3278 -2.7739 7.6744
Ca 5.9018 -0.0990 1.8978
Ca 4.1658 2.4379 3.8286
Ca 5.6541 0.0617 5.7459
Co -1.5063 2.3957 1.0121
Co -1.5712 2.4157 6.6525
Co 2.7742 -0.1202 4.8516
Co 2.7953 5.0138 2.8138
O -3.0653 2.6200 5.6891
O -0.6314 1.1389 2.0181
O -2.4239 6.1926 0.1381
O -0.0166 -2.5431 7.5409
O -0.9466 1.0409 5.6269
O -0.9455 3.7804 1.9872
O 2.0937 -1.5672 3.6923
O 2.1927 1.2623 0.1625
O 1.2698 -0.2463 5.8754
O -0.6482 3.7152 5.6507
O 2.0011 1.0798 3.7226
O -0.0723 7.4080 0.0986
O 1.2730 5.1409 1.8000
O 3.6913 -1.3115 5.8153
O 2.0156 3.8066 3.9457
O 4.3457 0.0032 3.6563
O 3.4699 3.5717 1.8163
O 3.4573 1.3270 5.8556
O 6.5754 -3.9610 7.5576
O 6.4971 -1.2122 3.9617
O 5.7239 2.2567 2.0139
O 3.7185 6.1873 1.8429
O 6.3227 -1.3780 7.5024
O 4.3753 4.8724 4.0130
```